Entry 1:
This entry pairs a crystal structure of Tb2Dy2Co with its simulated PXRD pattern. Radiation: a wavelength of 1.5418 Å. Structure: the PBE geometry in Alexandria.

Structure:
abc: 7.3479 11.5301 7.1447
angles: 90.00 113.52 90.00
Space group C2/m (No. 12)
Symmetry-distinct sites (fractional):
Tb 0.2258 0.0000 0.3955
Tb 0.2429 0.5000 0.0933
Dy 0.0463 0.2730 0.7577
Co 0.0000 0.1211 0.0000

Main lines, low angle first (5° ≤ 2θ ≤ 70°):
2θ 30.7, I = 100, (2 2 0); 2θ 31.0, I = 42, (0 4 0); 2θ 31.4, I = 50, (0 2 2); 2θ 34.4, I = 51, (1 3 -2); 2θ 35.8, I = 32, (1 1 2); 2θ 43.3, I = 23, (2 4 -2)

Entry 2:
This entry pairs a crystal structure of Tb4DyCo2 with its simulated PXRD pattern. Radiation: a wavelength of 1.5418 Å. Structure: the PBE geometry in Alexandria.

Structure:
abc: 7.6457 6.3925 7.7507
angles: 90.00 113.18 90.00
Space group P2_1/m (No. 11)
Symmetry-distinct sites (fractional):
Tb 0.1265 0.2500 0.4813
Tb 0.1744 0.7500 0.2510
Tb 0.2582 0.5027 0.9113
Dy 0.4718 0.2500 0.3352
Co 0.0946 0.2500 0.1299
Co 0.4890 0.2500 0.7673

Main lines, low angle first (5° ≤ 2θ ≤ 70°):
2θ 30.7, I = 65, (0 2 1); 2θ 31.2, I = 100, (2 1 -2); 2θ 34.8, I = 49, (1 0 -3); 2θ 35.3, I = 58, (3 0 -1); 2θ 36.7, I = 41, (3 0 -2); 2θ 38.1, I = 41, (2 2 0)

Entry 3:
This entry pairs a crystal structure of DyCoTc with its simulated PXRD pattern. Radiation: a wavelength of 1.5418 Å. Structure: the PBE geometry in Alexandria.

Structure:
abc: 4.9700 5.4125 7.5965
angles: 90.00 90.00 90.00
Space group Imma (No. 74)
Symmetry-distinct sites (fractional):
Dy 0.0000 0.2500 0.1205
Co 0.0000 0.0000 0.5000
Tc 0.2500 0.2500 0.7500

Main lines, low angle first (5° ≤ 2θ ≤ 70°):
2θ 33.1, I = 41, (0 2 0); 2θ 34.0, I = 100, (1 1 2); 2θ 39.3, I = 66, (0 1 3); 2θ 39.7, I = 81, (1 2 1); 2θ 40.0, I = 34, (1 0 3); 2θ 41.7, I = 99, (2 1 1)

Entry 4:
This entry pairs a crystal structure of Dy6Co2Tc with its simulated PXRD pattern. Radiation: a wavelength of 1.5418 Å. Structure: the PBE geometry in Alexandria.

Structure:
abc: 9.2470 9.4169 9.6308
angles: 90.00 90.00 90.00
Space group Immm (No. 71)
Symmetry-distinct sites (fractional):
Dy 0.0000 0.1865 0.2379
Dy 0.1855 0.5000 0.3286
Dy 0.2392 0.3238 0.0000
Co 0.0000 0.3327 0.5000
Co 0.0000 0.5000 0.1130
Tc 0.0000 0.0000 0.0000
Tc 0.0000 0.0000 0.5000

Main lines, low angle first (5° ≤ 2θ ≤ 70°):
2θ 29.4, I = 33, (0 1 3); 2θ 30.5, I = 36, (3 1 0); 2θ 32.9, I = 100, (2 2 2); 2θ 35.3, I = 35, (2 1 3); 2θ 35.5, I = 64, (1 3 2); 2θ 35.8, I = 73, (2 3 1)

Entry 5:
This entry pairs a crystal structure of Dy6Co2Te with its simulated PXRD pattern. Radiation: a wavelength of 1.5418 Å. Structure: the PBE geometry in Alexandria.

Structure:
abc: 9.3685 9.6824 10.0649
angles: 90.00 90.00 90.00
Space group Immm (No. 71)
Symmetry-distinct sites (fractional):
Dy 0.0000 0.2069 0.2344
Dy 0.1810 0.5000 0.1744
Dy 0.2156 0.3177 0.5000
Co 0.0000 0.3412 0.0000
Co 0.0000 0.5000 0.3872
Te 0.0000 0.0000 0.0000
Te 0.0000 0.0000 0.5000

Main lines, low angle first (5° ≤ 2θ ≤ 70°):
2θ 30.1, I = 31, (3 1 0); 2θ 32.0, I = 100, (2 2 2); 2θ 34.2, I = 31, (2 1 3); 2θ 34.4, I = 52, (1 3 2); 2θ 34.9, I = 35, (2 3 1); 2θ 60.0, I = 24, (5 3 2)

Entry 6:
This entry pairs a crystal structure of Dy7Co2Te2 with its simulated PXRD pattern. Radiation: a wavelength of 1.5418 Å. Structure: the PBE geometry in Alexandria.

Structure:
abc: 3.8403 15.7187 9.4966
angles: 90.00 90.00 90.00
Space group Imm2 (No. 44)
Symmetry-distinct sites (fractional):
Dy 0.0000 0.0000 0.0000
Dy 0.0000 0.1339 0.4196
Dy 0.0000 0.3152 0.6228
Dy 0.0000 0.3509 0.2703
Co 0.0000 0.2373 0.9318
Te 0.0000 0.0000 0.6653
Te 0.0000 0.5000 0.7662

Main lines, low angle first (5° ≤ 2θ ≤ 70°):
2θ 28.8, I = 38, (1 3 0); 2θ 30.5, I = 52, (1 1 2); 2θ 33.1, I = 82, (0 3 3); 2θ 34.0, I = 100, (1 4 1); 2θ 34.6, I = 52, (1 3 2); 2θ 59.0, I = 32, (2 3 3)

Entry 7:
This entry pairs a crystal structure of Dy2Th2Co3 with its simulated PXRD pattern. Radiation: a wavelength of 1.5418 Å. Structure: the PBE geometry in Alexandria.

Structure:
abc: 3.7332 6.7097 6.9525
angles: 79.18 74.60 73.94
Space group P-1 (No. 2)
Symmetry-distinct sites (fractional):
Dy 0.0621 0.2454 0.1300
Th 0.3167 0.2636 0.6040
Co 0.0000 0.0000 0.5000
Co 0.3820 0.5434 0.1921

Main lines, low angle first (5° ≤ 2θ ≤ 70°):
2θ 26.0, I = 39, (1 0 1); 2θ 27.9, I = 53, (0 2 0); 2θ 28.7, I = 48, (0 1 2); 2θ 31.8, I = 83, (0 1 -2); 2θ 32.0, I = 100, (1 2 1); 2θ 32.7, I = 52, (1 1 -1)

Entry 8:
This entry pairs a crystal structure of Dy6TlCo with its simulated PXRD pattern. Radiation: a wavelength of 1.5418 Å. Structure: the PBE geometry in Alexandria.

Structure:
abc: 6.8305 6.8803 7.2897
angles: 62.42 62.68 60.25
Space group P-1 (No. 2)
Symmetry-distinct sites (fractional):
Dy 0.0301 0.4107 0.2626
Dy 0.2059 0.9718 0.7388
Dy 0.4101 0.7976 0.2616
Tl 0.5000 0.5000 0.0000
Co 0.0000 0.0000 0.5000

Main lines, low angle first (5° ≤ 2θ ≤ 70°):
2θ 24.3, I = 16, (1 0 -1); 2θ 29.0, I = 20, (0 0 2); 2θ 29.7, I = 26, (-1 1 1); 2θ 29.8, I = 100, (2 1 0); 2θ 39.1, I = 33, (1 2 -1); 2θ 45.9, I = 23, (3 0 1)

Entry 9:
This entry pairs a crystal structure of DyU2Co9 with its simulated PXRD pattern. Radiation: a wavelength of 1.5418 Å. Structure: the PBE geometry in Alexandria.

Structure:
abc: 4.8402 4.8402 24.4174
angles: 90.00 90.00 120.00
Space group R-3m (No. 166, hexagonal axes)
Symmetry-distinct sites (fractional):
Dy 0.0000 0.0000 0.0000
U 0.0000 0.0000 0.1406
Co 0.0000 0.0000 0.3327
Co 0.0000 0.0000 0.5000
Co 0.0012 0.5006 0.0824

Main lines, low angle first (5° ≤ 2θ ≤ 70°):
2θ 21.5, I = 26, (1 0 1); 2θ 33.4, I = 72, (1 0 7); 2θ 36.4, I = 47, (0 1 8); 2θ 37.2, I = 69, (1 1 0); 2θ 43.3, I = 41, (0 2 1); 2θ 43.5, I = 100, (1 1 6)

Entry 10:
This entry pairs a crystal structure of DyUCo3 with its simulated PXRD pattern. Radiation: a wavelength of 1.5418 Å. Structure: the PBE geometry in Alexandria.

Structure:
abc: 5.2572 8.4338 7.8462
angles: 90.00 90.00 90.00
Space group Imma (No. 74)
Symmetry-distinct sites (fractional):
Dy 0.0000 0.2500 0.0635
U 0.0000 0.0000 0.5000
Co 0.0000 0.2500 0.6703
Co 0.2500 0.0169 0.7500

Main lines, low angle first (5° ≤ 2θ ≤ 70°):
2θ 29.4, I = 100, (1 2 1); 2θ 30.3, I = 22, (1 1 2); 2θ 41.3, I = 31, (2 0 2); 2θ 42.9, I = 24, (0 4 0); 2θ 44.2, I = 34, (1 2 3); 2θ 61.1, I = 19, (2 4 2)

Entry 11:
This entry pairs a crystal structure of Dy2UCo3 with its simulated PXRD pattern. Radiation: a wavelength of 1.5418 Å. Structure: the PBE geometry in Alexandria.

Structure:
abc: 5.1006 10.8305 4.0017
angles: 90.00 90.00 90.00
Space group Pnnm (No. 58)
Symmetry-distinct sites (fractional):
Dy 0.1968 0.2025 0.0000
U 0.0000 0.5000 0.0000
Co 0.0000 0.0000 0.5000
Co 0.2108 0.4217 0.5000

Main lines, low angle first (5° ≤ 2θ ≤ 70°):
2θ 29.5, I = 53, (1 1 1); 2θ 33.4, I = 100, (0 3 1); 2θ 37.9, I = 49, (1 3 1); 2θ 39.0, I = 45, (2 2 0); 2θ 42.9, I = 76, (2 1 1); 2θ 45.3, I = 49, (0 0 2)

Entry 12:
This entry pairs a crystal structure of Dy2V2Co15 with its simulated PXRD pattern. Radiation: a wavelength of 1.5418 Å. Structure: the PBE geometry in Alexandria.

Structure:
abc: 8.3135 8.3135 12.1644
angles: 90.00 90.00 120.00
Space group R-3m (No. 166, hexagonal axes)
Symmetry-distinct sites (fractional):
Dy 0.0000 0.0000 0.1524
V 0.0000 0.0000 0.4039
Co 0.0000 0.2928 0.5000
Co 0.0000 0.5000 0.0000
Co 0.0023 0.5011 0.3468

Main lines, low angle first (5° ≤ 2θ ≤ 70°):
2θ 30.8, I = 39, (1 1 3); 2θ 37.5, I = 38, (3 0 0); 2θ 38.8, I = 31, (0 2 4); 2θ 43.5, I = 58, (2 2 0); 2θ 43.8, I = 100, (3 0 3); 2θ 44.7, I = 48, (0 0 6)